1.
This entry pairs a crystal structure of Cu2GeSe3 with its simulated powder diffractogram. Radiation: Cu Kα, 1.54184 Å. Structure: a GGA-PBE-relaxed structure.
Kinematic intensities with the Lorentz-polarization factor, no thermal factor.

Crystal structure
```
Cu2GeSe3
1.0
5.9210 -3.4316 0.0000
5.9210 3.4316 0.0000
0.0000 0.0000 6.5674
Cu Ge Se
4 2 6
Cartesian
1.9578 1.1134 0.0000
1.9578 -1.1134 3.2837
9.8841 1.1134 0.0000
9.8841 -1.1134 3.2837
5.9210 1.1858 0.1528
5.9210 -1.1858 3.4365
2.0107 1.1509 4.1474
5.9210 1.1984 4.1806
2.0107 -1.1509 0.8637
9.8313 1.1509 4.1474
5.9210 -1.1984 0.8969
9.8313 -1.1509 0.8637
```

Largest 10 diffraction maxima, in order of rising 2θ, 10 to 90 degrees two-theta:
- 2θ = 26.01°, I 100
- 2θ = 27.16°, I 59
- 2θ = 29.41°, I 65
- 2θ = 37.96°, I 36
- 2θ = 45.85°, I 55
- 2θ = 45.98°, I 28
- 2θ = 49.41°, I 84
- 2θ = 54.10°, I 33
- 2θ = 77.90°, I 20
- 2θ = 87.48°, I 20

***

2.
This entry pairs a crystal structure of UP4 with its simulated powder diffractogram. Radiation: Cu Kα, 1.54184 Å. Structure: a GGA-PBE-relaxed structure.
Kinematic intensities with the Lorentz-polarization factor, no thermal factor.

Crystal structure
```
UP4
1.0
2.6391 -6.6714 0.0000
2.6391 6.6714 0.0000
-2.3628 0.0000 5.7747
U P
2 8
Cartesian
0.8671 6.0081 4.3310
2.0485 -6.0081 1.4437
1.0202 2.9871 1.0395
-0.1696 1.6096 4.0125
1.0118 -1.6096 1.1252
-0.1612 -2.9871 3.9268
3.0767 2.9871 1.8479
1.9037 1.6096 4.6495
3.0851 -1.6096 1.7622
1.8954 -2.9871 4.7352
```

Largest 10 diffraction maxima, in order of rising 2θ, 10 to 90 degrees two-theta:
- 2θ = 13.27°, I 40
- 2θ = 19.35°, I 100
- 2θ = 27.11°, I 23
- 2θ = 27.58°, I 59
- 2θ = 30.14°, I 24
- 2θ = 30.97°, I 61
- 2θ = 39.28°, I 23
- 2θ = 42.51°, I 20
- 2θ = 43.61°, I 31
- 2θ = 53.54°, I 23

***

3.
This entry pairs a crystal structure of DyYSi2Au2 with its simulated powder diffractogram. Radiation: Cu Kα, 1.54184 Å. Structure: a GGA-PBE-relaxed structure.
Kinematic intensities with the Lorentz-polarization factor, no thermal factor.

Crystal structure
```
DyYSi2Au2
1.0
4.3159 0.0000 0.0000
-2.1580 3.7377 0.0000
0.0000 0.0000 7.6740
Dy Y Si Au
1 1 2 2
Cartesian
0.0000 0.0000 0.0000
0.0000 0.0000 3.8383
0.0000 2.4918 5.5607
2.1580 1.2459 1.7178
0.0000 2.4918 2.0319
2.1580 1.2459 5.8770
```

Largest 10 diffraction maxima, in order of rising 2θ, 10 to 90 degrees two-theta:
- 2θ = 26.53°, I 73
- 2θ = 33.47°, I 100
- 2θ = 41.86°, I 60
- 2θ = 42.84°, I 23
- 2θ = 47.39°, I 13
- 2θ = 50.25°, I 13
- 2θ = 54.62°, I 25
- 2θ = 65.05°, I 30
- 2θ = 67.40°, I 11
- 2θ = 71.11°, I 23